(1)
For BaPt2Au6, a crystal structure in Alexandria, relaxed with PBE gives the calculated X-ray powder pattern in this record (Cu Kα, 1.54184 Å).

Atomic structure:
a b c (Å): 5.505 5.505 8.661
angles (deg): 90.00 90.00 120.00
Atoms (fractional coordinates):
Ba 0.000 0.000 0.000
Pt 0.333 0.667 0.500
Pt 0.667 0.333 0.500
Au 0.000 0.500 0.238
Au 0.000 0.500 0.762
Au 0.500 0.000 0.238
Au 0.500 0.000 0.762
Au 0.500 0.500 0.238
Au 0.500 0.500 0.762

Principal peaks in the range 10° ≤ 2θ ≤ 90°, sorted by position:
- 18.61°, rel. 56
- 20.51°, rel. 31
- 21.27°, rel. 35
- 27.83°, rel. 23
- 37.74°, rel. 61
- 38.76°, rel. 73
- 41.71°, rel. 33
- 43.33°, rel. 100
- 57.50°, rel. 33
- 62.23°, rel. 18
- 68.13°, rel. 25
- 83.17°, rel. 28

***

(2)
For Ba4Pt2Au5, a crystal structure in Alexandria, relaxed with PBE gives the calculated X-ray powder pattern in this record (Cu Kα, 1.54184 Å).

Atomic structure:
a b c (Å): 7.823 4.408 9.491
angles (deg): 90.00 93.47 90.00
Atoms (fractional coordinates):
Ba 0.214 0.000 0.143
Ba 0.252 0.000 0.613
Ba 0.748 0.000 0.387
Ba 0.786 0.000 0.857
Pt 0.051 0.500 0.368
Pt 0.949 0.500 0.632
Au 0.164 0.500 0.872
Au 0.409 0.500 0.366
Au 0.500 0.500 0.000
Au 0.591 0.500 0.634
Au 0.836 0.500 0.128

Principal peaks in the range 10° ≤ 2θ ≤ 90°, sorted by position:
- 20.15°, rel. 47
- 29.51°, rel. 100
- 30.41°, rel. 49
- 30.59°, rel. 49
- 31.62°, rel. 24
- 36.34°, rel. 27
- 37.99°, rel. 29
- 38.44°, rel. 24
- 40.95°, rel. 40
- 41.90°, rel. 23
- 43.12°, rel. 19
- 57.09°, rel. 18

***

(3)
For Ba8Pt4Au, a crystal structure in Alexandria, relaxed with PBE gives the calculated X-ray powder pattern in this record (Cu Kα, 1.54184 Å).

Atomic structure:
a b c (Å): 11.539 11.539 15.289
angles (deg): 130.67 130.67 23.37
Atoms (fractional coordinates):
Ba 0.000 0.000 0.000
Ba 0.017 0.017 0.737
Ba 0.298 0.298 0.931
Ba 0.327 0.327 0.679
Ba 0.373 0.373 0.411
Ba 0.624 0.624 0.608
Ba 0.704 0.704 0.072
Ba 0.953 0.953 0.267
Pt 0.003 0.003 0.514
Pt 0.327 0.327 0.165
Pt 0.516 0.516 0.878
Pt 0.812 0.812 0.808
Au 0.819 0.819 0.509

Principal peaks in the range 10° ≤ 2θ ≤ 90°, sorted by position:
- 10.49°, rel. 100
- 11.58°, rel. 44
- 21.07°, rel. 43
- 24.77°, rel. 45
- 25.87°, rel. 95
- 29.18°, rel. 69
- 30.74°, rel. 68
- 31.83°, rel. 39
- 34.98°, rel. 50
- 35.22°, rel. 35
- 38.53°, rel. 59
- 40.32°, rel. 96

***

(4)
For Ba3PtAu, a crystal structure in Alexandria, relaxed with PBE gives the calculated X-ray powder pattern in this record (Cu Kα, 1.54184 Å).

Atomic structure:
a b c (Å): 4.538 9.709 9.728
angles (deg): 70.71 89.99 89.99
Atoms (fractional coordinates):
Ba 0.000 0.000 0.000
Ba 0.000 0.119 0.386
Ba 0.001 0.365 0.635
Ba 0.001 0.753 0.751
Ba 0.501 0.406 0.039
Ba 0.501 0.712 0.347
Pt 0.500 0.059 0.193
Pt 0.501 0.559 0.693
Au 0.001 0.558 0.195
Au 0.501 0.059 0.693

Principal peaks in the range 10° ≤ 2θ ≤ 90°, sorted by position:
- 19.35°, rel. 80
- 22.58°, rel. 28
- 24.40°, rel. 26
- 27.09°, rel. 100
- 29.21°, rel. 25
- 29.93°, rel. 31
- 31.46°, rel. 39
- 34.00°, rel. 76
- 35.43°, rel. 29
- 37.62°, rel. 51
- 39.72°, rel. 35
- 48.33°, rel. 30

***

(5)
For Ba12Pt5Au, a crystal structure in Alexandria, relaxed with PBE gives the calculated X-ray powder pattern in this record (Cu Kα, 1.54184 Å).

Atomic structure:
a b c (Å): 8.111 8.111 15.101
angles (deg): 90.01 90.01 121.08
Atoms (fractional coordinates):
Ba 0.003 0.669 0.611
Ba 0.151 0.151 0.115
Ba 0.156 0.503 0.886
Ba 0.331 0.997 0.389
Ba 0.336 0.336 0.612
Ba 0.497 0.844 0.114
Ba 0.503 0.156 0.886
Ba 0.664 0.664 0.388
Ba 0.669 0.003 0.611
Ba 0.844 0.497 0.114
Ba 0.849 0.849 0.885
Ba 0.997 0.331 0.389
Pt 0.000 0.000 0.500
Pt 0.166 0.834 0.000
Pt 0.334 0.666 0.500
Pt 0.666 0.334 0.500
Pt 0.834 0.166 0.000
Au 0.500 0.500 0.000

Principal peaks in the range 10° ≤ 2θ ≤ 90°, sorted by position:
- 11.72°, rel. 100
- 23.06°, rel. 19
- 24.93°, rel. 67
- 25.25°, rel. 20
- 28.26°, rel. 68
- 28.55°, rel. 19
- 32.66°, rel. 33
- 37.12°, rel. 48
- 38.23°, rel. 23
- 39.37°, rel. 62
- 51.14°, rel. 18
- 58.46°, rel. 17

***

(6)
For BaPt2Au10, a crystal structure in Alexandria, relaxed with PBE gives the calculated X-ray powder pattern in this record (Cu Kα, 1.54184 Å).

Atomic structure:
a b c (Å): 9.545 7.480 7.166
angles (deg): 81.31 50.77 47.91
Atoms (fractional coordinates):
Ba 0.000 0.000 0.000
Pt 0.000 0.500 0.000
Pt 0.500 0.000 0.500
Au 0.000 0.000 0.500
Au 0.004 0.348 0.652
Au 0.276 0.497 0.503
Au 0.348 0.004 0.996
Au 0.497 0.276 0.724
Au 0.500 0.500 0.000
Au 0.503 0.724 0.276
Au 0.652 0.996 0.004
Au 0.724 0.503 0.497
Au 0.996 0.652 0.348

Principal peaks in the range 10° ≤ 2θ ≤ 90°, sorted by position:
- 32.27°, rel. 29
- 36.78°, rel. 100
- 37.75°, rel. 58
- 38.25°, rel. 33
- 41.08°, rel. 42
- 41.50°, rel. 19
- 41.74°, rel. 19
- 41.99°, rel. 43
- 42.64°, rel. 17
- 43.30°, rel. 19
- 67.53°, rel. 24
- 78.24°, rel. 20